For LaMg6Ga, the PBE geometry in the Materials Project gives the calculated X-ray diffraction stick pattern in this record (Cu Kα (λ = 1.5418 Å)).
Kinematic intensities with the Lorentz-polarization factor, no thermal factor.

Peak list (8 most intense, 5° ≤ 2θ ≤ 70°, low angle first)
15.2 deg, d = 5.817 Å, rel. 64.9; 23.3 deg, d = 3.820 Å, rel. 38.0; 30.7 deg, d = 2.909 Å, rel. 27.3; 32.0 deg, d = 2.798 Å, rel. 23.8; 35.4 deg, d = 2.533 Å, rel. 22.6; 35.6 deg, d = 2.522 Å, rel. 100.0; 54.7 deg, d = 1.679 Å, rel. 18.0; 66.9 deg, d = 1.399 Å, rel. 19.2

Atomic structure:
```
LaMg6Ga
1.0
5.0654 0.0000 0.0000
0.0000 6.7212 0.0000
0.0000 0.0000 11.6237
La Mg Ga
2 12 2
Cartesian
0.0000 0.0000 0.0000
0.0000 3.3606 5.8118
0.0000 0.0000 5.6565
0.0000 1.6197 2.8440
0.0000 1.7409 8.6559
0.0000 3.3606 11.4684
0.0000 4.9803 8.6559
0.0000 5.1015 2.8440
2.5327 0.0000 7.6112
2.5327 1.5720 4.6441
2.5327 1.7886 10.4560
2.5327 3.3606 1.7993
2.5327 4.9326 10.4560
2.5327 5.1492 4.6441
2.5327 0.0000 1.8172
2.5327 3.3606 7.6291
```

=====

For CuReO4, the PBE geometry in the Materials Project gives the calculated X-ray diffraction stick pattern in this record (Cu Kα (λ = 1.5418 Å)).
Kinematic intensities with the Lorentz-polarization factor, no thermal factor.

Peak list (8 most intense, 5° ≤ 2θ ≤ 70°, low angle first)
18.3 deg, d = 4.855 Å, rel. 49.8; 24.6 deg, d = 3.626 Å, rel. 69.2; 25.7 deg, d = 3.467 Å, rel. 100.0; 25.8 deg, d = 3.450 Å, rel. 72.2; 28.9 deg, d = 3.089 Å, rel. 31.8; 30.7 deg, d = 2.915 Å, rel. 58.3; 44.6 deg, d = 2.031 Å, rel. 18.4; 49.2 deg, d = 1.850 Å, rel. 19.3

Atomic structure:
```
CuReO4
1.0
7.8044 0.0000 0.0000
3.8966 9.8019 0.0000
3.8929 0.0110 9.8087
Cu Re O
8 8 32
Cartesian
0.0000 0.0000 0.0000
5.8191 4.9502 9.2517
5.8426 8.0873 2.6759
3.8630 0.9048 4.3657
7.7791 3.1784 6.6184
5.8316 2.6363 1.7511
9.7179 5.8246 4.9181
11.6662 7.5629 7.5361
7.2713 7.8965 6.6428
5.3232 4.9148 4.5569
9.2321 5.8236 9.6181
7.2859 0.9266 9.4630
7.2762 0.0205 4.7036
9.2425 7.7418 1.7360
9.2433 3.0159 2.6368
11.1903 2.8359 7.5417
5.7079 7.1535 7.0479
2.1317 3.6937 1.1661
2.5334 1.8113 3.3220
4.0888 2.1598 6.0737
6.9996 9.1937 5.4746
7.9826 8.5783 8.1041
1.8296 0.5251 0.4035
5.0856 6.9960 1.0944
6.0312 6.3833 3.8837
7.6679 5.4242 8.8737
5.0647 3.7468 3.2588
6.4128 4.2206 5.7605
7.0215 2.0845 8.1572
8.3692 6.6991 5.9514
7.6744 8.4697 2.1493
4.4892 1.6171 0.8468
5.7067 0.4158 3.9684
6.0314 4.3495 0.5042
10.3361 6.4897 8.4117
11.8797 9.2536 8.7937
10.9226 8.6596 6.0094
7.9768 1.4919 5.3758
9.6156 3.5578 7.1455
8.9879 4.3130 3.8070
7.6710 2.2839 2.2534
9.9594 7.0723 3.1998
8.9798 6.4401 0.5726
10.3265 8.9455 1.0328
10.9415 1.5392 8.7130
12.2637 9.1285 3.5008
11.5575 5.3141 5.2853
12.2774 4.0453 8.2301
```